For LiDyNp2S6, DFT lattice parameters and positions (GGA-PBE) gives the simulated powder diffractogram in this record (CuKα).
Peak positions follow from Bragg's law for the DFT cell and can differ from measured ones.

Main lines, low angle first (2θ from 10° to 90°):
- 2θ = 13.31°, I 44.4
- 2θ = 24.51°, I 100.0
- 2θ = 29.12°, I 30.3
- 2θ = 33.98°, I 25.1
- 2θ = 40.00°, I 38.8
- 2θ = 48.93°, I 32.6

Structure:
```
data_LiDyNp2S6
_chemical_formula_sum 'Li1 Dy1 Np2 S6'
_symmetry_space_group_name_H-M 'P 4 m m'
_symmetry_Int_Tables_number 99
_cell_length_a 6.1321
_cell_length_b 6.1321
_cell_length_c 6.6499
_cell_angle_alpha 90.00
_cell_angle_beta 90.00
_cell_angle_gamma 90.00
loop_
_symmetry_equiv_pos_as_xyz
'x,y,z'
'-y,x,z'
'-x,-y,z'
'y,-x,z'
'-x,y,z'
'y,x,z'
'x,-y,z'
'-y,-x,z'
loop_
_atom_site_label
_atom_site_fract_x
_atom_site_fract_y
_atom_site_fract_z
Li1 0.0000 0.0000 0.0000
Dy1 0.5000 0.5000 0.0271
Np1 0.0000 0.5000 0.4551
S1 0.0000 0.0000 0.6395
S2 0.2396 0.2396 0.2187
S3 0.5000 0.5000 0.6293
```